Starting from a GGA-PBE-relaxed structure, the X-ray diffraction stick pattern of CsDyBeCl6 was computed for Cu Kα X-rays.

Structure:
Unit cell a=6.5473 b=6.5473 c=7.8010 alpha=90.00 beta=90.00 gamma=120.00
Space group P312 (No. 149)
Unique sites:
Cs 0.0000 0.0000 0.0000
Dy 0.6667 0.3333 0.5000
Be 0.3333 0.6667 0.5000
Cl 0.0369 0.3920 0.6774

Top 10 peaks for 2θ = 5–70°, sorted by position:
index, Position (°2θ), intensity
0 0 1, 11.34, 17
1 0 1, 19.35, 100
1 1 0, 27.24, 13
1 0 2, 27.76, 17
1 1 1, 29.59, 13
2 0 1, 33.63, 21
2 -1 2, 35.81, 46
1 0 3, 38.07, 16
3 -1 1, 43.81, 26
3 0 0, 48.14, 13